Entry 1:
Calculated X-ray powder pattern
Compound: La4Tb10Dy
Radiation: Cu Kα, 1.54184 Å
Structure: a cell relaxed with PBE
Kinematic intensities with the Lorentz-polarization factor, no thermal factor.

```
La4Tb10Dy
1.0
-4.918 4.918 5.348
4.918 -4.918 5.348
4.918 4.918 -5.348
La Tb Dy
4 10 1
Direct
0.064 0.667 0.730
0.333 0.064 0.397
0.667 0.936 0.603
0.936 0.333 0.270
0.131 0.225 0.678
0.225 0.547 0.094
0.250 0.750 0.500
0.453 0.131 0.906
0.453 0.547 0.678
0.547 0.453 0.322
0.547 0.869 0.094
0.750 0.250 0.500
0.775 0.453 0.906
0.869 0.775 0.322
0.000 0.000 0.000
```

The 12 most intense peaks (2θ = 10–80°), low angle first:
26.59 deg, I 85; 28.48 deg, I 78; 28.70 deg, I 100; 32.32 deg, I 78; 33.33 deg, I 87; 33.92 deg, I 42; 38.31 deg, I 26; 41.04 deg, I 31; 41.69 deg, I 32; 44.55 deg, I 36; 59.44 deg, I 23; 59.79 deg, I 23

***

Entry 2:
Calculated X-ray powder pattern
Compound: Sm5Er5Sc
Radiation: Cu Kα, 1.54184 Å
Structure: a cell relaxed with PBE
Kinematic intensities with the Lorentz-polarization factor, no thermal factor.

```
Sm5Er5Sc
1.0
6.027 0.000 0.000
-3.013 5.219 0.000
0.000 0.000 11.606
Sm Er Sc
5 5 1
Direct
0.000 0.000 0.000
0.333 0.667 0.309
0.333 0.667 0.691
0.667 0.333 0.153
0.667 0.333 0.847
0.000 0.000 0.266
0.000 0.000 0.734
0.335 0.167 0.500
0.833 0.167 0.500
0.833 0.665 0.500
0.333 0.667 0.000
```

The 12 most intense peaks (2θ = 10–80°), low angle first:
16.99 deg, I 25; 28.72 deg, I 100; 29.65 deg, I 90; 30.65 deg, I 28; 33.51 deg, I 55; 35.25 deg, I 62; 35.40 deg, I 48; 37.82 deg, I 41; 46.82 deg, I 31; 52.04 deg, I 38; 56.40 deg, I 26; 61.55 deg, I 32

***

Entry 3:
Calculated X-ray powder pattern
Compound: RbRuI6
Radiation: Cu Kα, 1.54184 Å
Structure: a cell relaxed with PBE
Kinematic intensities with the Lorentz-polarization factor, no thermal factor.

```
RbRuI6
1.0
8.797 0.000 0.000
0.000 9.834 0.000
-1.792 0.000 7.505
Rb Ru I
2 2 12
Direct
0.000 0.000 0.000
0.500 0.500 0.000
0.000 0.500 0.500
0.500 0.000 0.500
0.140 0.312 0.743
0.140 0.688 0.743
0.248 0.000 0.636
0.252 0.500 0.364
0.360 0.188 0.257
0.360 0.812 0.257
0.640 0.188 0.743
0.640 0.812 0.743
0.748 0.500 0.636
0.752 0.000 0.364
0.860 0.312 0.257
0.860 0.688 0.257
```

The 12 most intense peaks (2θ = 10–80°), low angle first:
11.79 deg, I 46; 19.65 deg, I 38; 21.39 deg, I 33; 25.28 deg, I 42; 26.27 deg, I 71; 28.12 deg, I 68; 29.95 deg, I 62; 32.19 deg, I 43; 32.50 deg, I 100; 39.51 deg, I 39; 41.62 deg, I 34; 46.29 deg, I 42

***

Entry 4:
Calculated X-ray powder pattern
Compound: Cr4InS8
Radiation: Cu Kα, 1.54184 Å
Structure: a cell relaxed with PBE
Kinematic intensities with the Lorentz-polarization factor, no thermal factor.

```
Cr4InS8
1.0
0.000 4.814 4.814
4.814 0.000 4.814
4.814 4.814 0.000
Cr In S
4 1 8
Direct
0.398 0.398 0.398
0.398 0.398 0.805
0.398 0.805 0.398
0.805 0.398 0.398
0.000 0.000 0.000
0.118 0.627 0.627
0.144 0.144 0.144
0.144 0.144 0.568
0.144 0.568 0.144
0.568 0.144 0.144
0.627 0.118 0.627
0.627 0.627 0.118
0.627 0.627 0.627
```

The 12 most intense peaks (2θ = 10–80°), low angle first:
15.94 deg, I 23; 18.43 deg, I 58; 26.18 deg, I 50; 30.80 deg, I 100; 32.21 deg, I 18; 37.36 deg, I 45; 40.85 deg, I 31; 46.19 deg, I 39; 49.17 deg, I 76; 53.86 deg, I 74; 73.62 deg, I 21; 75.91 deg, I 16

***

Entry 5:
Calculated X-ray powder pattern
Compound: Be12Cu17
Radiation: Cu Kα, 1.54184 Å
Structure: a cell relaxed with PBE
Kinematic intensities with the Lorentz-polarization factor, no thermal factor.

```
Be12Cu17
1.0
-4.207 4.207 4.207
4.207 -4.207 4.207
4.207 4.207 -4.207
Be Cu
12 17
Direct
0.000 0.187 0.371
0.000 0.371 0.187
0.183 0.813 0.813
0.187 0.000 0.371
0.187 0.371 0.000
0.371 0.000 0.187
0.371 0.187 0.000
0.629 0.629 0.817
0.629 0.817 0.629
0.813 0.183 0.813
0.813 0.813 0.183
0.817 0.629 0.629
0.000 0.000 0.000
0.000 0.000 0.657
0.000 0.400 0.686
0.000 0.657 0.000
0.000 0.686 0.400
0.286 0.600 0.600
0.314 0.314 0.714
0.314 0.714 0.314
0.343 0.343 0.343
0.400 0.000 0.686
0.400 0.686 0.000
0.600 0.286 0.600
0.600 0.600 0.286
0.657 0.000 0.000
0.686 0.000 0.400
0.686 0.400 0.000
0.714 0.314 0.314
```

The 12 most intense peaks (2θ = 10–80°), low angle first:
14.89 deg, I 8; 25.94 deg, I 41; 37.01 deg, I 4; 40.10 deg, I 5; 43.00 deg, I 7; 45.75 deg, I 100; 50.90 deg, I 3; 53.34 deg, I 9; 55.70 deg, I 5; 66.69 deg, I 11; 68.77 deg, I 4; 72.85 deg, I 5

***

Entry 6:
Calculated X-ray powder pattern
Compound: TlHgH6Ir
Radiation: Cu Kα, 1.54184 Å
Structure: a cell relaxed with PBE
Kinematic intensities with the Lorentz-polarization factor, no thermal factor.

```
TlHgH6Ir
1.0
4.941 0.000 0.000
-2.471 4.279 0.000
0.000 0.000 5.565
Tl Hg H Ir
1 1 6 1
Direct
0.000 0.000 0.000
0.333 0.667 0.500
0.386 0.107 0.694
0.386 0.279 0.306
0.721 0.107 0.306
0.721 0.614 0.694
0.893 0.279 0.694
0.893 0.614 0.306
0.667 0.333 0.500
```

The 12 most intense peaks (2θ = 10–80°), low angle first:
15.93 deg, I 13; 26.27 deg, I 100; 32.17 deg, I 22; 36.36 deg, I 48; 45.41 deg, I 24; 49.33 deg, I 42; 53.87 deg, I 14; 59.52 deg, I 21; 65.43 deg, I 9; 74.79 deg, I 12; 78.45 deg, I 10; 78.98 deg, I 11

***

Entry 7:
Calculated X-ray powder pattern
Compound: Hf2Nb3Ga4
Radiation: Cu Kα, 1.54184 Å
Structure: a cell relaxed with PBE
Kinematic intensities with the Lorentz-polarization factor, no thermal factor.

```
Hf2Nb3Ga4
1.0
7.070 0.000 0.000
0.000 7.059 0.000
-2.375 0.000 6.451
Hf Nb Ga
4 6 8
Direct
0.187 0.165 0.064
0.187 0.335 0.564
0.813 0.665 0.436
0.813 0.835 0.936
0.254 0.688 0.244
0.254 0.812 0.744
0.500 0.000 0.500
0.500 0.500 0.000
0.746 0.188 0.256
0.746 0.312 0.756
0.075 0.531 0.853
0.075 0.969 0.353
0.478 0.128 0.865
0.478 0.372 0.365
0.522 0.628 0.635
0.522 0.872 0.135
0.925 0.031 0.647
0.925 0.469 0.147
```

The 12 most intense peaks (2θ = 10–80°), low angle first:
18.35 deg, I 11; 29.75 deg, I 22; 33.88 deg, I 75; 36.26 deg, I 62; 36.73 deg, I 52; 37.20 deg, I 100; 40.79 deg, I 96; 41.44 deg, I 46; 55.16 deg, I 13; 57.05 deg, I 16; 58.64 deg, I 14; 62.75 deg, I 11

***

Entry 8:
Calculated X-ray powder pattern
Compound: La5Nd5Pb6
Radiation: Cu Kα, 1.54184 Å
Structure: a cell relaxed with PBE
Kinematic intensities with the Lorentz-polarization factor, no thermal factor.

```
La5Nd5Pb6
1.0
6.976 0.000 0.000
0.000 8.245 4.751
0.000 -8.245 4.751
La Nd Pb
5 5 6
Direct
0.000 0.000 0.000
0.251 0.572 0.905
0.251 0.905 0.572
0.749 0.572 0.905
0.749 0.905 0.572
0.000 0.238 0.478
0.000 0.478 0.238
0.500 0.240 0.999
0.500 0.476 0.476
0.500 0.999 0.240
0.000 0.240 0.845
0.000 0.628 0.628
0.000 0.845 0.240
0.500 0.238 0.630
0.500 0.630 0.238
0.500 0.848 0.848
```

The 12 most intense peaks (2θ = 10–80°), low angle first:
22.63 deg, I 13; 25.54 deg, I 27; 28.67 deg, I 21; 31.47 deg, I 100; 31.82 deg, I 71; 32.61 deg, I 42; 40.06 deg, I 13; 41.60 deg, I 19; 46.21 deg, I 15; 48.89 deg, I 30; 55.28 deg, I 13; 62.34 deg, I 22

***

Entry 9:
Calculated X-ray powder pattern
Compound: Tm3Mg2Ag
Radiation: Cu Kα, 1.54184 Å
Structure: a cell relaxed with PBE
Kinematic intensities with the Lorentz-polarization factor, no thermal factor.

```
Tm3Mg2Ag
1.0
3.707 0.000 0.000
0.000 3.707 0.000
0.000 0.000 10.972
Tm Mg Ag
3 2 1
Direct
0.000 0.000 0.000
0.000 0.000 0.343
0.000 0.000 0.657
0.500 0.500 0.168
0.500 0.500 0.832
0.500 0.500 0.500
```

The 12 most intense peaks (2θ = 10–80°), low angle first:
24.01 deg, I 32; 24.34 deg, I 15; 34.21 deg, I 52; 34.45 deg, I 100; 42.43 deg, I 14; 49.16 deg, I 19; 49.87 deg, I 9; 55.43 deg, I 7; 55.59 deg, I 7; 61.41 deg, I 37; 61.87 deg, I 17; 72.63 deg, I 11

***

Entry 10:
Calculated X-ray powder pattern
Compound: RbNpB2O8
Radiation: Cu Kα, 1.54184 Å
Structure: a cell relaxed with PBE
Kinematic intensities with the Lorentz-polarization factor, no thermal factor.

```
RbNpB2O8
1.0
4.338 -2.714 0.000
4.338 2.714 0.000
-3.074 0.000 6.998
Rb Np B O
1 1 2 8
Direct
0.000 0.000 0.000
0.000 0.000 0.500
0.431 0.431 0.722
0.569 0.569 0.278
0.250 0.250 0.595
0.264 0.712 0.306
0.288 0.736 0.694
0.418 0.418 0.919
0.582 0.582 0.081
0.712 0.264 0.306
0.736 0.288 0.694
0.750 0.750 0.405
```

The 12 most intense peaks (2θ = 10–80°), low angle first:
12.65 deg, I 59; 19.81 deg, I 100; 20.97 deg, I 54; 22.38 deg, I 86; 25.46 deg, I 33; 26.32 deg, I 30; 28.58 deg, I 76; 33.01 deg, I 25; 35.97 deg, I 33; 37.80 deg, I 28; 42.14 deg, I 32; 42.70 deg, I 29

***

Number 3 is which compound? RbRuI6